No. 1
This entry pairs a crystal structure of Li2Ni3WO8 with its calculated powder X-ray diffraction pattern. Radiation: copper Kα. Structure: a structure optimized by DFT (PBE+U).

Largest 10 diffraction maxima, most intense first, 2θ = 10–80°:
2θ = 18.24°, I 100; 2θ = 36.96°, I 27; 2θ = 34.91°, I 19; 2θ = 35.10°, I 18; 2θ = 42.21°, I 18; 2θ = 42.54°, I 17; 2θ = 36.00°, I 17; 2θ = 44.06°, I 15; 2θ = 14.97°, I 14; 2θ = 61.48°, I 11

Cell and atoms:
```
data_Li2Ni3WO8
_cell_length_a 8.220
_cell_length_b 8.501
_cell_length_c 8.563
_cell_angle_alpha 90.00
_cell_angle_beta 89.99
_cell_angle_gamma 89.97
_symmetry_space_group_name_H-M 'P 1'
_symmetry_Int_Tables_number 1
_symmetry_space_group_name_Hall 'P 1'
loop_
_atom_site_label
_atom_site_type_symbol
_atom_site_fract_x
_atom_site_fract_y
_atom_site_fract_z
Li1 Li 0.000 0.000 0.000
Li2 Li 0.012 0.500 0.505
Li3 Li 0.250 0.757 0.760
Li4 Li 0.263 0.262 0.261
Li5 Li 0.500 0.518 0.004
Li6 Li 0.512 0.019 0.500
Li7 Li 0.749 0.762 0.245
Li8 Li 0.763 0.257 0.745
Ni1 Ni 0.129 0.637 0.125
Ni2 Ni 0.131 0.389 0.873
Ni3 Ni 0.134 0.136 0.625
Ni4 Ni 0.379 0.882 0.125
Ni5 Ni 0.381 0.629 0.373
Ni6 Ni 0.384 0.381 0.626
Ni7 Ni 0.629 0.881 0.880
Ni8 Ni 0.631 0.129 0.132
Ni9 Ni 0.634 0.383 0.380
Ni10 Ni 0.879 0.636 0.880
Ni11 Ni 0.881 0.889 0.632
Ni12 Ni 0.884 0.137 0.380
W1 W 0.131 0.881 0.381
W2 W 0.381 0.137 0.881
W3 W 0.631 0.638 0.624
W4 W 0.881 0.381 0.124
O1 O 0.109 0.628 0.898
O2 O 0.116 0.393 0.127
O3 O 0.117 0.116 0.379
O4 O 0.131 0.654 0.369
O5 O 0.131 0.896 0.607
O6 O 0.144 0.882 0.147
O7 O 0.147 0.134 0.870
O8 O 0.154 0.363 0.635
O9 O 0.358 0.655 0.135
O10 O 0.366 0.885 0.370
O11 O 0.368 0.136 0.647
O12 O 0.381 0.124 0.107
O13 O 0.382 0.364 0.867
O14 O 0.395 0.902 0.880
O15 O 0.396 0.627 0.627
O16 O 0.404 0.390 0.399
O17 O 0.608 0.891 0.108
O18 O 0.616 0.125 0.878
O19 O 0.618 0.403 0.626
O20 O 0.631 0.622 0.397
O21 O 0.631 0.865 0.635
O22 O 0.644 0.638 0.858
O23 O 0.647 0.385 0.135
O24 O 0.654 0.156 0.370
O25 O 0.859 0.863 0.870
O26 O 0.866 0.634 0.635
O27 O 0.868 0.382 0.358
O28 O 0.881 0.396 0.898
O29 O 0.882 0.154 0.136
O30 O 0.895 0.616 0.126
O31 O 0.896 0.893 0.378
O32 O 0.904 0.128 0.607
```

***

No. 2
This entry pairs a crystal structure of BaCaNdMnO6 with its calculated powder X-ray diffraction pattern. Radiation: copper Kα. Structure: a structure optimized by DFT (PBE+U).

Largest 10 diffraction maxima, most intense first, 2θ = 10–80°:
2θ = 30.05°, I 100; 2θ = 53.36°, I 39; 2θ = 43.01°, I 34; 2θ = 18.27°, I 24; 2θ = 62.46°, I 20; 2θ = 35.39°, I 18; 2θ = 70.85°, I 18; 2θ = 47.09°, I 10; 2θ = 78.83°, I 6; 2θ = 56.88°, I 6

Cell and atoms:
```
data_BaCaNdMnO6
_cell_length_a 5.948
_cell_length_b 5.948
_cell_length_c 5.948
_cell_angle_alpha 60.00
_cell_angle_beta 60.00
_cell_angle_gamma 60.00
_symmetry_space_group_name_H-M 'P 1'
_symmetry_Int_Tables_number 1
_symmetry_space_group_name_Hall 'P 1'
loop_
_atom_site_label
_atom_site_type_symbol
_atom_site_fract_x
_atom_site_fract_y
_atom_site_fract_z
Ba1 Ba 0.000 0.000 0.000
Ca1 Ca 0.500 0.500 0.500
Nd1 Nd 0.250 0.250 0.250
Mn1 Mn 0.750 0.750 0.750
O1 O 0.522 0.522 0.978
O2 O 0.522 0.978 0.522
O3 O 0.522 0.978 0.978
O4 O 0.978 0.522 0.522
O5 O 0.978 0.522 0.978
O6 O 0.978 0.978 0.522
```